For Fe4Si2Sn7O16, a cell relaxed with PBE+U gives the computed powder diffractogram in this record (copper Kα).
Kinematic intensities with the Lorentz-polarization factor, no thermal factor.

Main lines, in order of rising 2θ (2θ from 10° to 80°):
2θ = 14.73°, I = 15
2θ = 24.03°, I = 16
2θ = 28.47°, I = 43
2θ = 31.24°, I = 100
2θ = 35.44°, I = 56
2θ = 49.20°, I = 36
2θ = 52.74°, I = 37
2θ = 61.03°, I = 30

```
Fe4Si2Sn7O16
1.0
11.162 -3.471 0.000
11.162 3.471 0.000
-6.478 0.000 10.132
Fe Si Sn O
8 4 14 32
direct
0.000 0.000 0.000 Fe
0.250 0.250 0.750 Fe
0.250 0.750 0.250 Fe
0.250 0.750 0.750 Fe
0.500 0.500 0.500 Fe
0.750 0.250 0.250 Fe
0.750 0.250 0.750 Fe
0.750 0.750 0.250 Fe
0.131 0.131 0.964 Si
0.369 0.369 0.536 Si
0.631 0.631 0.464 Si
0.869 0.869 0.036 Si
0.000 0.000 0.500 Sn
0.081 0.584 0.250 Sn
0.084 0.582 0.750 Sn
0.167 0.167 0.501 Sn
0.333 0.333 0.999 Sn
0.416 0.919 0.750 Sn
0.418 0.916 0.250 Sn
0.500 0.500 0.000 Sn
0.582 0.084 0.750 Sn
0.584 0.081 0.250 Sn
0.667 0.667 0.001 Sn
0.833 0.833 0.499 Sn
0.916 0.418 0.250 Sn
0.919 0.416 0.750 Sn
0.037 0.649 0.074 O
0.042 0.042 0.875 O
0.056 0.056 0.402 O
0.149 0.537 0.575 O
0.157 0.157 0.120 O
0.175 0.712 0.367 O
0.184 0.184 0.351 O
0.212 0.675 0.867 O
0.288 0.825 0.633 O
0.316 0.316 0.149 O
0.325 0.788 0.133 O
0.343 0.343 0.380 O
0.351 0.963 0.926 O
0.444 0.444 0.098 O
0.458 0.458 0.624 O
0.463 0.851 0.425 O
0.537 0.149 0.575 O
0.542 0.542 0.376 O
0.556 0.556 0.902 O
0.649 0.037 0.074 O
0.657 0.657 0.620 O
0.675 0.212 0.867 O
0.684 0.684 0.851 O
0.712 0.175 0.367 O
0.788 0.325 0.133 O
0.816 0.816 0.649 O
0.825 0.288 0.633 O
0.843 0.843 0.880 O
0.851 0.463 0.425 O
0.944 0.944 0.598 O
0.958 0.958 0.125 O
0.963 0.351 0.926 O
```